Simulated powder X-ray diffraction pattern
Compound: Hf2ZrCd
Radiation: a wavelength of 1.5418 Å
Structure: the PBE geometry in Alexandria

Structure:
Unit cell a=3.2037 b=3.2037 c=30.4920 alpha=90.00 beta=90.00 gamma=120.00
Element x y z (fractional)
1 Hf 0.0000 0.0000 0.0000
2 Hf 0.0000 0.0000 0.4135
3 Hf 0.3333 0.6667 0.0802
4 Hf 0.3333 0.6667 0.6667
5 Hf 0.6667 0.3333 0.3333
6 Hf 0.6667 0.3333 0.7468
7 Zr 0.0000 0.0000 0.1635
8 Zr 0.3333 0.6667 0.8302
9 Zr 0.6667 0.3333 0.4968
10 Cd 0.0000 0.0000 0.5821
11 Cd 0.3333 0.6667 0.2488
12 Cd 0.6667 0.3333 0.9155

The 10 most intense peaks (10 to 90 degrees two-theta), by angle:
h k l	Position (°2θ)	d (Å)	I/Imax
0 1 2	32.8	2.730	41
0 0 12	35.3	2.541	46
0 1 5	35.5	2.525	100
1 0 7	38.5	2.340	80
1 0 10	44.1	2.052	19
1 1 0	57.5	1.602	34
0 1 17	61.6	1.506	20
1 0 19	67.4	1.389	15
1 1 12	69.3	1.355	38
2 0 5	69.5	1.353	14